# 1
For LaPrTm2Hg4, a cell relaxed with PBE gives the calculated X-ray diffraction stick pattern in this record (Cu Ka).
No peak broadening, texture or thermal motion is included.

The 10 most intense peaks (2θ = 10–90°), in order of rising 2θ:
two_theta, I/Imax, hkl
23.5, 19, 1 0 4
33.4, 1000, 1 1 0
41.2, 7, 0 2 4
48.0, 184, 2 0 8
54.1, 10, 2 1 4
59.7, 384, 3 0 0
70.2, 119, 2 2 0
80.0, 169, 3 1 8
89.5, 34, 0 4 8
89.6, 11, 0 0 24

Atomic structure:
```
data_LaPrTm2Hg4
_chemical_formula_sum 'La3 Pr3 Tm6 Hg12'
_cell_length_a 5.3656
_cell_length_b 5.3656
_cell_length_c 26.2533
_cell_angle_alpha 90.00
_cell_angle_beta 90.00
_cell_angle_gamma 120.00
_symmetry_space_group_name_H-M 'R -3 m'
_symmetry_Int_Tables_number 166
_symmetry_space_group_name_Hall '-R 3 2"'
loop_
_atom_site_label
_atom_site_type_symbol
_atom_site_fract_x
_atom_site_fract_y
_atom_site_fract_z
_atom_site_occupancy
La1 La 0.0000 0.0000 0.0000 1
Pr1 Pr 0.0000 0.0000 0.5000 1
Tm1 Tm 0.0000 0.0000 0.2496 1
Hg1 Hg 0.0000 0.0000 0.1257 1
Hg2 Hg 0.0000 0.0000 0.3754 1
```

---

# 2
For PmHoGa6, a cell relaxed with PBE gives the calculated X-ray diffraction stick pattern in this record (Cu Ka).
No peak broadening, texture or thermal motion is included.

The 10 most intense peaks (2θ = 10–90°), in order of rising 2θ:
two_theta, I/Imax, hkl
25.3, 235, 1 0 1
28.2, 98, 1 1 0
32.7, 251, 2 0 0
38.3, 1000, 2 0 1
39.2, 225, 0 0 2
51.9, 134, 2 0 2
58.4, 161, 2 2 0
70.4, 161, 2 0 3
72.0, 114, 4 0 1
72.6, 166, 2 2 2

Atomic structure:
```
data_PmHoGa6
_chemical_formula_sum 'Pm1 Ho1 Ga6'
_cell_length_a 6.3222
_cell_length_b 6.3222
_cell_length_c 4.5982
_cell_angle_alpha 90.00
_cell_angle_beta 90.00
_cell_angle_gamma 120.00
_symmetry_space_group_name_H-M 'P -6 m 2'
_symmetry_Int_Tables_number 187
_symmetry_space_group_name_Hall 'P -6 2'
loop_
_atom_site_label
_atom_site_type_symbol
_atom_site_fract_x
_atom_site_fract_y
_atom_site_fract_z
_atom_site_occupancy
Pm1 Pm 0.0000 0.0000 0.0000 1
Ho1 Ho 0.6667 0.3333 0.5000 1
Ga1 Ga 0.0391 0.5195 0.0000 1
Ga2 Ga 0.1890 0.3779 0.5000 1
```

---

# 3
For Li2Ag, a cell relaxed with PBE gives the calculated X-ray diffraction stick pattern in this record (Cu Ka).
No peak broadening, texture or thermal motion is included.

The 10 most intense peaks (2θ = 10–90°), in order of rising 2θ:
two_theta, I/Imax, hkl
11.7, 1000, 0 2 0
21.9, 106, 0 2 1
23.5, 99, 0 4 0
30.1, 151, 0 4 1
35.6, 89, 1 3 0
36.6, 295, 1 1 1
37.5, 95, 0 0 2
39.4, 106, 0 2 2
40.4, 335, 0 6 1
52.7, 104, 1 7 0

Atomic structure:
```
data_Li2Ag
_chemical_formula_sum 'Li8 Ag4'
_cell_length_a 2.9126
_cell_length_b 15.1372
_cell_length_c 4.7953
_cell_angle_alpha 90.00
_cell_angle_beta 90.00
_cell_angle_gamma 90.00
_symmetry_space_group_name_H-M 'C m c m'
_symmetry_Int_Tables_number 63
_symmetry_space_group_name_Hall '-C 2c 2'
loop_
_atom_site_label
_atom_site_type_symbol
_atom_site_fract_x
_atom_site_fract_y
_atom_site_fract_z
_atom_site_occupancy
Li1 Li 0.0000 0.0572 0.2500 1
Li2 Li 0.0000 0.3724 0.2500 1
Ag1 Ag 0.0000 0.2847 0.7500 1
```

---

# 4
For K3IrRh2Se6, a cell relaxed with PBE gives the calculated X-ray diffraction stick pattern in this record (Cu Ka).
No peak broadening, texture or thermal motion is included.

The 10 most intense peaks (2θ = 10–90°), in order of rising 2θ:
two_theta, I/Imax, hkl
12.5, 956, 0 0 1
31.3, 1000, 1 3 1
39.9, 345, 1 3 2
43.3, 190, 2 0 2
46.4, 411, 0 6 0
48.3, 202, 3 3 0
54.7, 139, 2 0 3
57.1, 117, 2 6 -2
76.5, 145, 4 6 0
81.6, 114, 0 0 6

Atomic structure:
```
data_K3IrRh2Se6
_chemical_formula_sum 'K6 Ir2 Rh4 Se12'
_cell_length_a 6.7752
_cell_length_b 11.7318
_cell_length_c 7.4327
_cell_angle_alpha 90.00
_cell_angle_beta 107.69
_cell_angle_gamma 90.00
_symmetry_space_group_name_H-M 'C 1 2/m 1'
_symmetry_Int_Tables_number 12
_symmetry_space_group_name_Hall '-C 2y'
loop_
_atom_site_label
_atom_site_type_symbol
_atom_site_fract_x
_atom_site_fract_y
_atom_site_fract_z
_atom_site_occupancy
K1 K 0.0000 0.0000 0.0000 1
K2 K 0.0000 0.3329 0.0000 1
Ir1 Ir 0.0000 0.5000 0.5000 1
Rh1 Rh 0.0000 0.1666 0.5000 1
Se1 Se 0.2223 0.3336 0.6677 1
Se2 Se 0.2231 0.0000 0.6678 1
```

---

# 5
For Tb3SiPb, a cell relaxed with PBE gives the calculated X-ray diffraction stick pattern in this record (Cu Ka).
No peak broadening, texture or thermal motion is included.

The 10 most intense peaks (2θ = 10–90°), in order of rising 2θ:
two_theta, I/Imax, hkl
27.7, 1000, 1 0 2
34.0, 659, 1 2 1
39.5, 383, 2 0 0
44.4, 124, 1 2 3
48.9, 139, 2 2 1
52.1, 88, 1 2 4
57.1, 182, 2 2 3
60.9, 150, 1 4 2
68.2, 199, 2 4 0
88.3, 104, 3 4 2

Atomic structure:
```
data_Tb3SiPb
_chemical_formula_sum 'Tb6 Si2 Pb2'
_cell_length_a 4.5645
_cell_length_b 6.9001
_cell_length_c 9.1033
_cell_angle_alpha 90.00
_cell_angle_beta 90.00
_cell_angle_gamma 90.00
_symmetry_space_group_name_H-M 'P m m n'
_symmetry_Int_Tables_number 59
loop_
_symmetry_equiv_pos_as_xyz
'x,y,z'
'-x,-y,-z'
'-x+1/2,-y+1/2,z'
'x+1/2,y+1/2,-z'
'x+1/2,-y,-z'
'-x+1/2,y,z'
'-x,y+1/2,-z'
'x,-y+1/2,z'
loop_
_atom_site_label
_atom_site_type_symbol
_atom_site_fract_x
_atom_site_fract_y
_atom_site_fract_z
_atom_site_occupancy
Tb1 Tb 0.2500 0.0058 0.1656 1
Tb2 Tb 0.2500 0.2500 0.5795 1
Si1 Si 0.2500 0.2500 0.8987 1
Pb1 Pb 0.2500 0.7500 0.6455 1
```

---

# 6
For Tb2Y2HoTh, a cell relaxed with PBE gives the calculated X-ray diffraction stick pattern in this record (Cu Ka).
No peak broadening, texture or thermal motion is included.

The 10 most intense peaks (2θ = 10–90°), in order of rising 2θ:
two_theta, I/Imax, hkl
25.4, 106, 2 0 0
31.4, 857, 2 0 2
31.7, 1000, 0 2 0
41.1, 178, 2 2 0
45.3, 311, 2 2 2
56.3, 216, 2 1 5
56.4, 170, 0 0 6
56.6, 129, 0 3 3
62.4, 292, 4 2 0
80.6, 93, 4 3 3

Atomic structure:
```
data_Tb2Y2HoTh
_chemical_formula_sum 'Tb4 Y4 Ho2 Th2'
_cell_length_a 7.0056
_cell_length_b 5.6262
_cell_length_c 9.7834
_cell_angle_alpha 90.00
_cell_angle_beta 90.00
_cell_angle_gamma 90.00
_symmetry_space_group_name_H-M 'P m m a'
_symmetry_Int_Tables_number 51
_symmetry_space_group_name_Hall '-P 2a 2a'
loop_
_atom_site_label
_atom_site_type_symbol
_atom_site_fract_x
_atom_site_fract_y
_atom_site_fract_z
_atom_site_occupancy
Tb1 Tb 0.2500 0.0000 0.1590 1
Tb2 Tb 0.2500 0.5000 0.6740 1
Y1 Y 0.0000 0.0000 0.5000 1
Y2 Y 0.2500 0.5000 0.3415 1
Ho1 Ho 0.0000 0.5000 0.0000 1
Th1 Th 0.2500 0.0000 0.8269 1
```